Structure and theoretical powder XRD pattern of Rb2TlSnSb (DFT lattice parameters and positions (GGA-PBE); a wavelength of 1.5418 Å).
Intensities are scaled so that the largest is 100.

Atomic structure:
a = 6.924 Å, b = 6.924 Å, c = 5.783 Å
α = 90.00°, β = 90.00°, γ = 90.00°
Space group P4/mmm (No. 123)
Unique sites:
Rb: 0.000 0.500 0.000 (multiplicity 2)
Tl: 0.000 0.000 0.500 (multiplicity 1)
Sn: 0.500 0.500 0.000 (multiplicity 1)
Sb: 0.500 0.500 0.500 (multiplicity 1)

Peak list (8 most intense, 15° ≤ 2θ ≤ 90°, low angle first)
2θ (°)	I (rel.)
18.12	42.7
20.00	37.3
23.81	89.3
25.73	100.0
36.71	39.5
40.65	59.5
44.23	33.8
48.74	35.3


Structure and theoretical powder XRD pattern of Rb3SbTe (DFT lattice parameters and positions (GGA-PBE); a wavelength of 1.5418 Å).
Intensities are scaled so that the largest is 100.

Atomic structure:
a = 18.987 Å, b = 4.803 Å, c = 10.916 Å
α = 90.00°, β = 100.03°, γ = 90.00°
Space group C2/m (No. 12)
Unique sites:
Rb: 0.055 0.000 0.146 (multiplicity 4)
Rb: 0.101 0.500 0.594 (multiplicity 4)
Rb: 0.236 0.000 0.837 (multiplicity 4)
Sb: 0.211 0.000 0.442 (multiplicity 4)
Te: 0.104 0.500 0.910 (multiplicity 4)

Peak list (8 most intense, 15° ≤ 2θ ≤ 90°, low angle first)
2θ (°)	I (rel.)
23.97	100.0
24.80	52.3
27.24	30.1
28.64	54.2
30.19	41.7
30.29	66.8
32.19	52.6
37.45	39.9


Structure and theoretical powder XRD pattern of RbSbTe3 (DFT lattice parameters and positions (GGA-PBE); a wavelength of 1.5418 Å).
Intensities are scaled so that the largest is 100.

Atomic structure:
a = 7.368 Å, b = 7.521 Å, c = 7.961 Å
α = 90.00°, β = 93.76°, γ = 90.00°
Space group P2_1 (No. 4)
Unique sites:
Rb: 0.248 0.000 0.481 (multiplicity 2)
Sb: 0.154 0.390 0.089 (multiplicity 2)
Te: 0.225 0.979 0.980 (multiplicity 2)
Te: 0.238 0.501 0.414 (multiplicity 2)
Te: 0.308 0.631 0.859 (multiplicity 2)

Peak list (8 most intense, 15° ≤ 2θ ≤ 90°, low angle first)
2θ (°)	I (rel.)
16.23	37.3
22.38	48.3
23.66	59.0
24.21	100.0
28.63	53.7
32.80	36.1
34.11	40.5
34.30	38.6


Structure and theoretical powder XRD pattern of Rb2SbTe5 (DFT lattice parameters and positions (GGA-PBE); a wavelength of 1.5418 Å).
Intensities are scaled so that the largest is 100.

Atomic structure:
a = 6.439 Å, b = 7.887 Å, c = 8.246 Å
α = 73.08°, β = 88.49°, γ = 67.56°
Space group P1 (No. 1)
Unique sites:
Rb: 0.000 0.000 0.000 (multiplicity 1)
Rb: 0.438 0.110 0.358 (multiplicity 1)
Sb: 0.154 0.663 0.625 (multiplicity 1)
Te: 0.018 0.489 0.951 (multiplicity 1)
Te: 0.483 0.596 0.319 (multiplicity 1)
Te: 0.542 0.532 0.988 (multiplicity 1)
Te: 0.953 0.054 0.554 (multiplicity 1)
Te: 0.967 0.592 0.347 (multiplicity 1)

Peak list (8 most intense, 15° ≤ 2θ ≤ 90°, low angle first)
2θ (°)	I (rel.)
22.65	28.8
25.35	36.3
25.65	100.0
28.67	38.4
30.17	58.6
31.12	76.4
34.26	42.4
35.65	40.9


Structure and theoretical powder XRD pattern of Rb5Sb2Te6 (DFT lattice parameters and positions (GGA-PBE); a wavelength of 1.5418 Å).
Intensities are scaled so that the largest is 100.

Atomic structure:
a = 14.264 Å, b = 15.595 Å, c = 5.497 Å
α = 90.00°, β = 90.00°, γ = 90.00°
Space group Pbam (No. 55)
Unique sites:
Rb: 0.000 0.000 0.000 (multiplicity 2)
Rb: 0.059 0.264 0.000 (multiplicity 4)
Rb: 0.189 0.522 0.000 (multiplicity 4)
Sb: 0.192 0.725 0.500 (multiplicity 4)
Te: 0.044 0.605 0.500 (multiplicity 4)
Te: 0.150 0.115 0.500 (multiplicity 4)
Te: 0.188 0.801 0.000 (multiplicity 4)

Peak list (8 most intense, 15° ≤ 2θ ≤ 90°, low angle first)
2θ (°)	I (rel.)
20.73	93.9
25.40	100.0
28.06	61.0
30.41	89.0
32.58	77.9
38.31	40.4
41.77	36.4
45.15	37.6


Structure and theoretical powder XRD pattern of Rb5Sb2Te5 (DFT lattice parameters and positions (GGA-PBE); a wavelength of 1.5418 Å).
Intensities are scaled so that the largest is 100.

Atomic structure:
a = 15.344 Å, b = 5.382 Å, c = 13.967 Å
α = 90.00°, β = 107.70°, γ = 90.00°
Space group C2/m (No. 12)
Unique sites:
Rb: 0.000 0.000 0.000 (multiplicity 2)
Rb: 0.162 0.000 0.558 (multiplicity 4)
Rb: 0.242 0.500 0.145 (multiplicity 4)
Sb: 0.047 0.500 0.296 (multiplicity 4)
Te: 0.000 0.500 0.500 (multiplicity 2)
Te: 0.105 0.500 0.882 (multiplicity 4)
Te: 0.141 0.000 0.287 (multiplicity 4)

Peak list (8 most intense, 15° ≤ 2θ ≤ 90°, low angle first)
2θ (°)	I (rel.)
24.03	100.0
24.65	32.9
25.27	56.5
25.83	40.3
26.49	47.1
33.29	60.0
37.38	41.4
38.11	30.1


Structure and theoretical powder XRD pattern of Rb2SbTe2 (DFT lattice parameters and positions (GGA-PBE); a wavelength of 1.5418 Å).
Intensities are scaled so that the largest is 100.

Atomic structure:
a = 7.470 Å, b = 14.895 Å, c = 8.998 Å
α = 90.00°, β = 90.00°, γ = 90.00°
Space group Ibam (No. 72)
Unique sites:
Rb: 0.173 0.141 0.000 (multiplicity 8)
Sb: 0.000 0.500 0.250 (multiplicity 4)
Te: 0.178 0.391 0.000 (multiplicity 8)

Peak list (8 most intense, 15° ≤ 2θ ≤ 90°, low angle first)
2θ (°)	I (rel.)
19.73	35.5
23.87	29.8
26.52	41.8
31.16	100.0
31.58	27.4
34.00	24.8
38.98	14.8
40.05	27.7


Structure and theoretical powder XRD pattern of RbSb4Te6 (DFT lattice parameters and positions (GGA-PBE); a wavelength of 1.5418 Å).
Intensities are scaled so that the largest is 100.

Atomic structure:
a = 4.634 Å, b = 14.526 Å, c = 23.314 Å
α = 90.00°, β = 90.00°, γ = 90.00°
Space group Cmcm (No. 63)
Unique sites:
Rb: 0.000 0.153 0.250 (multiplicity 4)
Sb: 0.000 0.091 0.632 (multiplicity 8)
Sb: 0.000 0.363 0.537 (multiplicity 8)
Te: 0.000 0.000 0.000 (multiplicity 4)
Te: 0.000 0.160 0.750 (multiplicity 4)
Te: 0.000 0.259 0.083 (multiplicity 8)
Te: 0.000 0.465 0.650 (multiplicity 8)

Peak list (8 most intense, 15° ≤ 2θ ≤ 90°, low angle first)
2θ (°)	I (rel.)
26.01	69.8
26.90	59.5
27.72	100.0
29.03	76.3
38.87	49.0
39.74	38.9
40.36	59.9
41.48	37.4


Copy entry 1 word for word.
Structure and theoretical powder XRD pattern of Rb2TlSnSb (DFT lattice parameters and positions (GGA-PBE); a wavelength of 1.5418 Å).
Intensities are scaled so that the largest is 100.

Atomic structure:
a = 6.924 Å, b = 6.924 Å, c = 5.783 Å
α = 90.00°, β = 90.00°, γ = 90.00°
Space group P4/mmm (No. 123)
Unique sites:
Rb: 0.000 0.500 0.000 (multiplicity 2)
Tl: 0.000 0.000 0.500 (multiplicity 1)
Sn: 0.500 0.500 0.000 (multiplicity 1)
Sb: 0.500 0.500 0.500 (multiplicity 1)

Peak list (8 most intense, 15° ≤ 2θ ≤ 90°, low angle first)
2θ (°)	I (rel.)
18.12	42.7
20.00	37.3
23.81	89.3
25.73	100.0
36.71	39.5
40.65	59.5
44.23	33.8
48.74	35.3


What did the seventh record say?
Structure and theoretical powder XRD pattern of Rb2SbTe2 (DFT lattice parameters and positions (GGA-PBE); a wavelength of 1.5418 Å).
Intensities are scaled so that the largest is 100.

Atomic structure:
a = 7.470 Å, b = 14.895 Å, c = 8.998 Å
α = 90.00°, β = 90.00°, γ = 90.00°
Space group Ibam (No. 72)
Unique sites:
Rb: 0.173 0.141 0.000 (multiplicity 8)
Sb: 0.000 0.500 0.250 (multiplicity 4)
Te: 0.178 0.391 0.000 (multiplicity 8)

Peak list (8 most intense, 15° ≤ 2θ ≤ 90°, low angle first)
2θ (°)	I (rel.)
19.73	35.5
23.87	29.8
26.52	41.8
31.16	100.0
31.58	27.4
34.00	24.8
38.98	14.8
40.05	27.7


Copy entry 8 word for word.
Structure and theoretical powder XRD pattern of RbSb4Te6 (DFT lattice parameters and positions (GGA-PBE); a wavelength of 1.5418 Å).
Intensities are scaled so that the largest is 100.

Atomic structure:
a = 4.634 Å, b = 14.526 Å, c = 23.314 Å
α = 90.00°, β = 90.00°, γ = 90.00°
Space group Cmcm (No. 63)
Unique sites:
Rb: 0.000 0.153 0.250 (multiplicity 4)
Sb: 0.000 0.091 0.632 (multiplicity 8)
Sb: 0.000 0.363 0.537 (multiplicity 8)
Te: 0.000 0.000 0.000 (multiplicity 4)
Te: 0.000 0.160 0.750 (multiplicity 4)
Te: 0.000 0.259 0.083 (multiplicity 8)
Te: 0.000 0.465 0.650 (multiplicity 8)

Peak list (8 most intense, 15° ≤ 2θ ≤ 90°, low angle first)
2θ (°)	I (rel.)
26.01	69.8
26.90	59.5
27.72	100.0
29.03	76.3
38.87	49.0
39.74	38.9
40.36	59.9
41.48	37.4